Structure and computed powder diffraction line list of MnH20C2S2N6O12 (the PBE+U geometry in Alexandria; Cu Kα (λ = 1.5418 Å)).
Neutral-atom scattering factors, no anomalous dispersion.

Crystal structure
a b c (Å): 6.4417 6.4670 10.0216
angles (deg): 90.42 96.57 109.76
Fractional positions:
Mn 0.0000 0.0000 0.0000
H 0.0893 0.6254 0.8923
H 0.1699 0.9536 0.6738
H 0.1750 0.4351 0.1176
H 0.2158 0.7032 0.6804
H 0.2499 0.0202 0.3276
H 0.2515 0.1534 0.4835
H 0.2556 0.5348 0.4940
H 0.3054 0.6680 0.3434
H 0.3784 0.9043 0.1354
H 0.4463 0.1683 0.1320
H 0.5537 0.8317 0.8680
H 0.6216 0.0957 0.8646
H 0.6946 0.3320 0.6566
H 0.7444 0.4652 0.5060
H 0.7485 0.8466 0.5165
H 0.7501 0.9798 0.6724
H 0.7842 0.2968 0.3196
H 0.8250 0.5649 0.8824
H 0.8301 0.0464 0.3262
H 0.9107 0.3746 0.1077
C 0.2265 0.8342 0.4946
C 0.7735 0.1658 0.5054
S 0.3473 0.3633 0.7858
S 0.6527 0.6367 0.2142
N 0.1984 0.8289 0.6250
N 0.2340 0.0144 0.4278
N 0.2408 0.6564 0.4329
N 0.7592 0.3436 0.5671
N 0.7660 0.9856 0.5722
N 0.8016 0.1711 0.3750
O 0.0300 0.3145 0.0961
O 0.1794 0.1661 0.8347
O 0.3024 0.3617 0.6372
O 0.3191 0.0278 0.1303
O 0.3354 0.5700 0.8471
O 0.4247 0.6500 0.1759
O 0.5753 0.3500 0.8241
O 0.6646 0.4300 0.1529
O 0.6809 0.9722 0.8697
O 0.6976 0.6383 0.3628
O 0.8206 0.8339 0.1653
O 0.9700 0.6855 0.9039

Most intense lines, 2θ = 5–70°, in order of falling intensity:
d/Å	Position (°2θ)	I/Imax	(hkl)
5.268	16.83	100	1 -1 0
2.923	30.59	97	2 -1 1
4.885	18.16	96	1 0 1
3.046	29.32	81	-1 2 1
4.788	18.53	78	-1 1 1
3.069	29.10	75	1 0 -3
9.944	8.89	73	0 0 1
2.983	29.95	68	2 0 -1
3.618	24.61	62	1 0 2
5.076	17.47	59	0 1 1